This entry pairs a crystal structure of Na4CoTeO6 with its calculated XRD peak list. Radiation: Cu Kα (λ = 1.5418 Å). Structure: a cell relaxed with PBE+U.
Intensities are scaled so that the largest is 100.

Largest 10 diffraction maxima, in order of rising 2θ, 10° ≤ 2θ ≤ 80°:
2θ (°), I_rel, h k l
16.67, 94, 1 0 0
19.59, 40, 0 1 1
21.71, 31, 1 1 -1
33.19, 32, 1 0 -2
33.71, 29, 2 0 0
34.54, 43, 1 3 -1
39.76, 55, 2 0 -2
40.02, 100, 1 3 1
56.95, 30, 3 3 -1
58.41, 29, 1 3 -3

Cell and atoms:
```
Na4CoTeO6
1.0
5.641 0.000 0.000
0.000 9.504 0.000
-1.827 0.000 5.155
Na Co Te O
8 2 2 12
Cartesian
-0.457 0.671 1.289 Na
-1.370 2.291 3.866 Na
-0.457 3.986 1.289 Na
-1.370 5.519 3.866 Na
-0.457 7.213 1.289 Na
-1.370 8.834 3.866 Na
1.450 3.978 3.866 Na
2.364 5.527 1.289 Na
1.450 0.809 3.866 Co
2.364 8.696 1.289 Co
2.364 2.330 1.289 Te
1.450 7.174 3.866 Te
1.496 3.663 0.189 O
0.583 5.841 2.767 O
1.609 0.850 0.156 O
0.696 8.655 2.733 O
0.794 2.211 2.477 O
-0.120 7.294 5.054 O
3.933 2.211 0.101 O
3.020 7.294 2.678 O
3.118 0.850 2.422 O
2.205 8.655 4.999 O
3.231 3.663 2.388 O
2.317 5.841 4.966 O
```